# 1
Diffraction record for BeP2N4. The X-ray diffraction stick pattern is calculated, not measured: it uses the PBE geometry in the Materials Project and Cu Kα.

```
BeP2N4
1.0
6.3888 3.6885 2.7969
-6.3888 3.6885 2.7969
0.0000 -7.3771 2.7969
Be P N
6 12 24
Cartesian
-1.4652 -2.1450 2.0966
-1.1250 2.3415 2.0966
2.5903 -0.1964 2.0966
-2.5903 0.1964 6.2941
1.1250 -2.3415 6.2941
1.4653 2.1450 6.2941
-5.2187 1.3732 3.4918
-3.7986 -3.8329 4.8989
-2.6002 0.2039 3.4994
1.4201 -5.2061 3.4918
-1.4767 -2.1498 4.8914
1.1235 -2.3538 3.4994
-1.1235 2.3538 4.8914
1.4767 2.1498 3.4994
-1.4201 5.2061 4.8989
2.6002 -0.2039 4.8914
3.7986 3.8329 3.4918
5.2187 -1.3732 4.8989
-4.2420 0.0486 3.5013
-2.0935 0.8880 2.0841
-4.4722 -2.3360 4.9639
-0.2131 -5.0410 3.4269
0.2778 -2.2570 2.0841
-4.2591 2.7050 3.4269
-1.9574 -1.3062 3.5676
-2.1631 -3.6494 4.8895
2.0789 -3.6980 3.5013
1.8158 1.3691 2.0841
-2.1099 1.0421 4.8231
0.1525 -2.3482 4.8231
-0.1525 2.3482 3.5676
2.1099 -1.0421 3.5676
-1.8158 -1.3691 6.3066
-2.0789 3.6980 4.8895
2.1631 3.6494 3.5013
1.9574 1.3062 4.8231
4.2591 -2.7050 4.9639
-0.2778 2.2570 6.3066
0.2131 5.0410 4.9639
4.4722 2.3360 3.4269
2.0935 -0.8880 6.3066
4.2420 -0.0486 4.8895
```

Main lines, by intensity (10 to 90 degrees two-theta):
Position (°2θ)  I_rel
27.93  100.0
35.02  89.3
37.24  76.0
23.77  68.0
72.86  51.9
13.86  38.7
54.13  36.4
24.13  34.1
22.67  22.2
76.32  21.2

=====

# 2
Diffraction record for K2SnOF6. The X-ray diffraction stick pattern is calculated, not measured: it uses the PBE geometry in the Materials Project and Cu Kα.

```
K2SnOF6
1.0
0.0000 6.8830 8.9110
6.0779 0.0000 8.9110
6.0779 6.8830 0.0000
K Sn O F
8 4 4 24
Cartesian
8.1677 5.1623 6.6832
4.5584 5.1623 4.5227
11.2066 8.6038 11.1387
4.5584 5.1623 8.8437
7.5974 8.6038 8.9782
0.9492 5.1623 6.6832
7.5974 8.6038 13.2992
3.9881 8.6038 11.1387
4.5584 2.1755 6.6832
7.5974 5.6170 11.1387
4.5584 8.1491 6.6832
7.5974 11.5906 11.1387
1.5195 1.7208 0.4190
1.5195 1.7208 4.0364
10.6363 12.0453 13.7855
10.6363 12.0453 17.4029
4.8525 2.2559 4.7005
6.1594 6.0874 2.1111
5.9140 3.6428 6.8687
9.1984 7.6787 6.5666
2.9575 4.2371 2.1112
4.2644 2.2559 8.6660
7.3034 5.6974 9.1560
5.9140 6.6817 6.4977
3.2029 3.6428 6.4977
8.9529 7.0843 10.9532
6.1594 4.2371 11.2553
4.2644 8.0687 4.7005
7.8914 5.6974 13.1214
5.9964 9.5289 6.5666
3.2029 6.6817 6.8687
8.9529 10.1233 11.3242
6.2419 7.0843 11.3242
4.8525 8.0687 8.6660
7.8914 11.5102 9.1560
9.1984 9.5289 15.7108
2.9575 6.0874 11.2553
6.2419 10.1233 10.9532
5.9964 7.6787 15.7108
7.3034 11.5102 13.1214
```

Main lines, by intensity (10 to 90 degrees two-theta):
Position (°2θ)  I_rel
28.01  100.0
17.66  63.2
19.48  61.6
16.27  47.1
19.93  43.7
10.91  39.0
39.56  30.2
40.49  30.1
39.91  29.6
25.89  28.1

=====

Copy entry 1 word for word.
Diffraction record for BeP2N4. The X-ray diffraction stick pattern is calculated, not measured: it uses the PBE geometry in the Materials Project and Cu Kα.

```
BeP2N4
1.0
6.3888 3.6885 2.7969
-6.3888 3.6885 2.7969
0.0000 -7.3771 2.7969
Be P N
6 12 24
Cartesian
-1.4652 -2.1450 2.0966
-1.1250 2.3415 2.0966
2.5903 -0.1964 2.0966
-2.5903 0.1964 6.2941
1.1250 -2.3415 6.2941
1.4653 2.1450 6.2941
-5.2187 1.3732 3.4918
-3.7986 -3.8329 4.8989
-2.6002 0.2039 3.4994
1.4201 -5.2061 3.4918
-1.4767 -2.1498 4.8914
1.1235 -2.3538 3.4994
-1.1235 2.3538 4.8914
1.4767 2.1498 3.4994
-1.4201 5.2061 4.8989
2.6002 -0.2039 4.8914
3.7986 3.8329 3.4918
5.2187 -1.3732 4.8989
-4.2420 0.0486 3.5013
-2.0935 0.8880 2.0841
-4.4722 -2.3360 4.9639
-0.2131 -5.0410 3.4269
0.2778 -2.2570 2.0841
-4.2591 2.7050 3.4269
-1.9574 -1.3062 3.5676
-2.1631 -3.6494 4.8895
2.0789 -3.6980 3.5013
1.8158 1.3691 2.0841
-2.1099 1.0421 4.8231
0.1525 -2.3482 4.8231
-0.1525 2.3482 3.5676
2.1099 -1.0421 3.5676
-1.8158 -1.3691 6.3066
-2.0789 3.6980 4.8895
2.1631 3.6494 3.5013
1.9574 1.3062 4.8231
4.2591 -2.7050 4.9639
-0.2778 2.2570 6.3066
0.2131 5.0410 4.9639
4.4722 2.3360 3.4269
2.0935 -0.8880 6.3066
4.2420 -0.0486 4.8895
```

Main lines, by intensity (10 to 90 degrees two-theta):
Position (°2θ)  I_rel
27.93  100.0
35.02  89.3
37.24  76.0
23.77  68.0
72.86  51.9
13.86  38.7
54.13  36.4
24.13  34.1
22.67  22.2
76.32  21.2

=====

Copy entry 2 word for word.
Diffraction record for K2SnOF6. The X-ray diffraction stick pattern is calculated, not measured: it uses the PBE geometry in the Materials Project and Cu Kα.

```
K2SnOF6
1.0
0.0000 6.8830 8.9110
6.0779 0.0000 8.9110
6.0779 6.8830 0.0000
K Sn O F
8 4 4 24
Cartesian
8.1677 5.1623 6.6832
4.5584 5.1623 4.5227
11.2066 8.6038 11.1387
4.5584 5.1623 8.8437
7.5974 8.6038 8.9782
0.9492 5.1623 6.6832
7.5974 8.6038 13.2992
3.9881 8.6038 11.1387
4.5584 2.1755 6.6832
7.5974 5.6170 11.1387
4.5584 8.1491 6.6832
7.5974 11.5906 11.1387
1.5195 1.7208 0.4190
1.5195 1.7208 4.0364
10.6363 12.0453 13.7855
10.6363 12.0453 17.4029
4.8525 2.2559 4.7005
6.1594 6.0874 2.1111
5.9140 3.6428 6.8687
9.1984 7.6787 6.5666
2.9575 4.2371 2.1112
4.2644 2.2559 8.6660
7.3034 5.6974 9.1560
5.9140 6.6817 6.4977
3.2029 3.6428 6.4977
8.9529 7.0843 10.9532
6.1594 4.2371 11.2553
4.2644 8.0687 4.7005
7.8914 5.6974 13.1214
5.9964 9.5289 6.5666
3.2029 6.6817 6.8687
8.9529 10.1233 11.3242
6.2419 7.0843 11.3242
4.8525 8.0687 8.6660
7.8914 11.5102 9.1560
9.1984 9.5289 15.7108
2.9575 6.0874 11.2553
6.2419 10.1233 10.9532
5.9964 7.6787 15.7108
7.3034 11.5102 13.1214
```

Main lines, by intensity (10 to 90 degrees two-theta):
Position (°2θ)  I_rel
28.01  100.0
17.66  63.2
19.48  61.6
16.27  47.1
19.93  43.7
10.91  39.0
39.56  30.2
40.49  30.1
39.91  29.6
25.89  28.1